# CoSn2O6F6
Computed powder diffraction line list, λ = 1.5418 Å (Cu Kα). Input: the GGA+U geometry in Alexandria.
Lines closer than 0.1° are merged.

Crystal structure
a b c (Å): 5.918 6.071 6.957
angles (deg): 75.81 83.28 86.32
Space group P-1 (No. 2)
One atom of each set of equivalent atoms:
Co  0.000  0.000  0.000 x1
Sn  0.471  0.200  0.649 x2
O  0.004  0.269  0.204 x2
O  0.132  0.431  0.159 x2
O  0.169  0.168  0.779 x2
F  0.307  0.584  0.523 x2
F  0.321  0.849  0.134 x2
F  0.408  0.132  0.371 x2

Largest 6 diffraction maxima, by intensity, 2θ = 10–90°:
| h k l | 2θ (°) | I_rel |
| --- | --- | --- |
| 1 0 0 | 15.08 | 100 |
| 1 0 1 | 19.01 | 92 |
| 1 0 -1 | 21.12 | 68 |
| 0 1 1 | 17.51 | 67 |
| 1 1 -1 | 27.56 | 51 |
| 1 1 2 | 29.59 | 49 |